For Pm2GaRhO6, a crystal structure in Alexandria, relaxed with GGA-PBE gives the simulated powder XRD pattern in this record (Cu Kα (λ = 1.5418 Å)).

Peak list (10 most intense, 2θ = 5–70°, most intense first)
| index | 2theta | I (rel.) |
| --- | --- | --- |
| 1 1 1 | 32.16 | 1000 |
| 1 1 -3 | 32.50 | 972 |
| 2 0 -2 | 32.92 | 488 |
| 0 2 0 | 31.19 | 386 |
| 2 2 -2 | 45.98 | 364 |
| 2 0 -6 | 58.75 | 320 |
| 0 0 4 | 46.75 | 275 |
| 3 1 -1 | 58.09 | 220 |
| 0 2 1 | 33.30 | 204 |
| 0 2 4 | 57.27 | 167 |

```
Pm2GaRhO6
1.0
5.441 0.000 0.000
0.000 5.736 0.000
-5.331 0.000 7.772
Pm Ga Rh O
4 2 2 12
direct
0.231 0.068 0.250
0.231 0.432 0.750
0.769 0.568 0.250
0.769 0.932 0.750
0.500 0.000 0.000
0.500 0.500 0.500
0.000 0.000 0.500
0.000 0.500 0.000
0.147 0.194 0.948
0.147 0.306 0.448
0.255 0.706 0.946
0.255 0.794 0.446
0.360 0.032 0.755
0.360 0.468 0.255
0.640 0.532 0.745
0.640 0.968 0.245
0.745 0.206 0.554
0.745 0.294 0.054
0.853 0.694 0.552
0.853 0.806 0.052
```